[1]
# ThTeSO7
Calculated powder X-ray diffraction pattern, copper Kα. Input: DFT lattice parameters and positions (PBE).

Principal peaks in the range 10° ≤ 2θ ≤ 90°, by intensity:
| d (Å) | I_rel |
| --- | --- |
| 3.211 | 100 |
| 7.243 | 74 |
| 3.632 | 68 |
| 3.506 | 67 |
| 2.930 | 49 |
| 2.791 | 31 |

```
ThTeSO7
1.0
7.6802 0.0000 0.0000
0.0000 14.0265 0.0000
-1.8958 0.0000 5.3769
Th Te S O
4 4 4 28
direct
0.0903 0.1330 0.4194
0.0903 0.3670 0.9194
0.9097 0.6330 0.0806
0.9097 0.8670 0.5806
0.2346 0.6262 0.7712
0.2346 0.8738 0.2712
0.7654 0.1262 0.7288
0.7654 0.3738 0.2288
0.3848 0.1390 0.1048
0.3848 0.3610 0.6048
0.6152 0.6390 0.3952
0.6152 0.8610 0.8952
0.0671 0.7192 0.8248
0.0671 0.7808 0.3248
0.0853 0.5869 0.4540
0.0853 0.9131 0.9540
0.1322 0.5409 0.9532
0.1322 0.9591 0.4532
0.2567 0.2190 0.1283
0.2567 0.2810 0.6283
0.3174 0.0993 0.8500
0.3174 0.4007 0.3500
0.3631 0.0678 0.2912
0.3631 0.4322 0.7912
0.4251 0.6731 0.3276
0.4251 0.8269 0.8276
0.5749 0.1731 0.1724
0.5749 0.3269 0.6724
0.6369 0.5678 0.2088
0.6369 0.9322 0.7088
0.6826 0.5993 0.6500
0.6826 0.9007 0.1500
0.7433 0.7190 0.3717
0.7433 0.7810 0.8717
0.8678 0.0409 0.5468
0.8678 0.4591 0.0468
0.9147 0.0869 0.0460
0.9147 0.4131 0.5460
0.9329 0.2192 0.6752
0.9329 0.2808 0.1752
```



[2]
# Ba6HfO8
Calculated powder X-ray diffraction pattern, copper Kα. Input: DFT lattice parameters and positions (PBE).

Principal peaks in the range 10° ≤ 2θ ≤ 90°, by intensity:
| d (Å) | I_rel |
| --- | --- |
| 3.142 | 100 |
| 2.721 | 83 |
| 1.924 | 56 |
| 1.641 | 50 |
| 6.283 | 32 |
| 1.217 | 23 |

```
Ba6HfO8
1.0
0.0000 5.4416 5.4416
5.4416 0.0000 5.4416
5.4416 5.4416 0.0000
Ba Hf O
6 1 8
direct
0.0000 0.0000 0.5000
0.0000 0.5000 0.0000
0.0000 0.5000 0.5000
0.5000 0.0000 0.0000
0.5000 0.0000 0.5000
0.5000 0.5000 0.0000
0.0000 0.0000 0.0000
0.1985 0.1985 0.8015
0.1985 0.8015 0.1985
0.1985 0.8015 0.8015
0.2500 0.2500 0.2500
0.7500 0.7500 0.7500
0.8015 0.1985 0.1985
0.8015 0.1985 0.8015
0.8015 0.8015 0.1985
```



[3]
# KCl
Calculated powder X-ray diffraction pattern, copper Kα. Input: DFT lattice parameters and positions (PBE).

Principal peaks in the range 10° ≤ 2θ ≤ 90°, by intensity:
| d (Å) | I_rel |
| --- | --- |
| 3.192 | 100 |
| 2.257 | 68 |
| 1.427 | 26 |
| 1.843 | 22 |
| 1.303 | 19 |
| 1.596 | 10 |

```
KCl
1.0
0.0000 3.1918 3.1918
3.1918 0.0000 3.1918
3.1918 3.1918 0.0000
K Cl
1 1
direct
0.0000 0.0000 0.0000
0.5000 0.5000 0.5000
```



[4]
# Rb2NaSbCl6
Calculated powder X-ray diffraction pattern, copper Kα. Input: DFT lattice parameters and positions (PBE).

Principal peaks in the range 10° ≤ 2θ ≤ 90°, by intensity:
| d (Å) | I_rel |
| --- | --- |
| 3.835 | 100 |
| 2.712 | 97 |
| 1.918 | 65 |
| 2.214 | 47 |
| 3.132 | 41 |
| 6.263 | 38 |

```
Rb2NaSbCl6
1.0
0.0000 5.4240 5.4240
5.4240 0.0000 5.4240
5.4240 5.4240 0.0000
Rb Na Sb Cl
2 1 1 6
direct
0.2500 0.2500 0.2500
0.7500 0.7500 0.7500
0.0000 0.0000 0.0000
0.5000 0.5000 0.5000
0.2549 0.2549 0.7451
0.2549 0.7451 0.2549
0.2549 0.7451 0.7451
0.7451 0.2549 0.2549
0.7451 0.2549 0.7451
0.7451 0.7451 0.2549
```